This entry pairs a crystal structure of HoTm2In3Ni2Au with its computed XRD peak list. Radiation: Cu Ka. Structure: the PBE geometry in OQMD.
Lines closer than 0.1° are merged.

Cell and atoms:
Unit cell a=3.8766 b=12.9910 c=7.4948 alpha=90.00 beta=90.00 gamma=90.00
Space group Amm2 (No. 38)
Symmetry-distinct sites (fractional):
Ho (0.0000, 0.0000, 0.0000) (multiplicity 2)
Tm (0.0000, 0.2039, 0.6112) (multiplicity 4)
In (0.5000, 0.0000, 0.6823) (multiplicity 2)
In (0.5000, 0.1377, 0.2706) (multiplicity 4)
Ni (0.5000, 0.1674, 0.9076) (multiplicity 4)
Au (0.0000, 0.0000, 0.4087) (multiplicity 2)

Top 12 peaks for 15 to 90 degrees two-theta, in order of falling intensity:
33.25 deg, d 2.695, I 100, hkl 1 0 2
36.09 deg, d 2.489, I 99, hkl 1 2 2
41.73 deg, d 2.164, I 44, hkl 0 3 3
36.62 deg, d 2.454, I 36, hkl 0 5 1
67.34 deg, d 1.390, I 35, hkl 1 7 3
46.87 deg, d 1.938, I 24, hkl 2 0 0
64.54 deg, d 1.444, I 24, hkl 2 3 3
27.47 deg, d 3.247, I 24, hkl 0 4 0
43.65 deg, d 2.074, I 23, hkl 1 5 1
50.69 deg, d 1.801, I 16, hkl 0 2 4
60.90 deg, d 1.521, I 16, hkl 2 5 1
77.52 deg, d 1.231, I 15, hkl 1 5 5